Starting from a structure optimized by DFT (PBE), the powder XRD pattern of Ga2CuTe4 was calculated for Cu Kα.
Intensities are scaled so that the largest is 100.

Cell and atoms:
```
Ga2CuTe4
1.0
5.8119 0.0000 0.0000
0.0000 5.8119 0.0000
0.0000 0.0000 6.2605
Ga Cu Te
2 1 4
direct
0.0000 0.5000 0.0000 Ga
0.5000 0.0000 0.0000 Ga
0.0000 0.0000 0.5000 Cu
0.2626 0.2626 0.7305 Te
0.2626 0.7374 0.2695 Te
0.7374 0.2626 0.2695 Te
0.7374 0.7374 0.7305 Te
```

Peak list (10 most intense, 2θ from 10° to 90°, most intense first)
25.93°, I 100, (1 1 1)
42.44°, I 44, (2 0 2)
51.85°, I 28, (3 1 1)
44.07°, I 20, (2 2 0)
48.95°, I 16, (1 1 3)
79.93°, I 12, (4 2 2)
67.97°, I 12, (3 1 3)
30.77°, I 8, (2 0 0)
76.51°, I 6, (2 2 4)
64.09°, I 6, (4 0 0)